1.
Simulated powder X-ray diffraction pattern
Compound: Hf2BiB
Radiation: Cu Kα (weighted mean of Kα1 and Kα2)
Structure: the GGA-PBE geometry in the Materials Project

Top 6 peaks for 10 to 80 degrees two-theta, by angle:
d [Å], I/Imax
3.965, 21
3.434, 15
2.428, 100
1.717, 18
1.402, 36
1.214, 12

```
data_Hf2BiB
_chemical_formula_sum 'Hf8 Bi4 B4'
_cell_length_a 6.868
_cell_length_b 6.868
_cell_length_c 6.868
_cell_angle_alpha 90.00
_cell_angle_beta 90.00
_cell_angle_gamma 90.00
_symmetry_space_group_name_H-M 'F -4 3 m'
_symmetry_Int_Tables_number 216
_symmetry_space_group_name_Hall 'F -4 2 3'
loop_
_atom_site_label
_atom_site_type_symbol
_atom_site_fract_x
_atom_site_fract_y
_atom_site_fract_z
Hf1 Hf 0.000 0.000 0.000
Hf2 Hf 0.250 0.250 0.250
Bi1 Bi 0.250 0.250 0.750
B1 B 0.000 0.000 0.500
```

***

2.
Simulated powder X-ray diffraction pattern
Compound: Mg5Si9
Radiation: Cu Kα (weighted mean of Kα1 and Kα2)
Structure: the GGA-PBE geometry in the Materials Project

Top 6 peaks for 10 to 80 degrees two-theta, by angle:
d [Å], I/Imax
2.390, 32
2.371, 45
2.340, 100
2.312, 32
2.246, 36
2.103, 31

```
data_Mg5Si9
_chemical_formula_sum 'Mg10 Si18'
_cell_length_a 5.427
_cell_length_b 7.405
_cell_length_c 12.703
_cell_angle_alpha 90.52
_cell_angle_beta 98.61
_cell_angle_gamma 105.91
_symmetry_space_group_name_H-M 'P 1'
_symmetry_Int_Tables_number 1
loop_
_symmetry_equiv_pos_as_xyz
'x,y,z'
loop_
_atom_site_label
_atom_site_type_symbol
_atom_site_fract_x
_atom_site_fract_y
_atom_site_fract_z
Mg1 Mg 0.000 0.000 0.000
Mg2 Mg 0.007 0.448 0.495
Mg3 Mg 0.149 0.826 0.609
Mg4 Mg 0.229 0.695 0.159
Mg5 Mg 0.369 0.510 0.790
Mg6 Mg 0.404 0.434 0.341
Mg7 Mg 0.556 0.235 0.943
Mg8 Mg 0.564 0.652 0.578
Mg9 Mg 0.712 0.113 0.335
Mg10 Mg 0.751 0.077 0.584
Si1 Si 0.106 0.445 0.983
Si2 Si 0.188 0.050 0.227
Si3 Si 0.217 0.076 0.769
Si4 Si 0.235 0.097 0.438
Si5 Si 0.301 0.783 0.403
Si6 Si 0.368 0.262 0.618
Si7 Si 0.389 0.798 0.943
Si8 Si 0.490 0.422 0.127
Si9 Si 0.528 0.032 0.117
Si10 Si 0.585 0.904 0.778
Si11 Si 0.739 0.619 0.992
Si12 Si 0.772 0.781 0.191
Si13 Si 0.810 0.789 0.408
Si14 Si 0.841 0.459 0.696
Si15 Si 0.887 0.500 0.278
Si16 Si 0.900 0.222 0.816
Si17 Si 0.935 0.737 0.823
Si18 Si 0.962 0.270 0.148
```

***

3.
Simulated powder X-ray diffraction pattern
Compound: Er2TlZn
Radiation: Cu Kα (weighted mean of Kα1 and Kα2)
Structure: the GGA-PBE geometry in the Materials Project

Top 6 peaks for 10 to 80 degrees two-theta, by angle:
d [Å], I/Imax
4.217, 10
2.582, 100
2.202, 6
1.826, 18
1.491, 37
1.291, 11

```
data_Er2TlZn
_chemical_formula_sum 'Er8 Tl4 Zn4'
_cell_length_a 7.304
_cell_length_b 7.304
_cell_length_c 7.304
_cell_angle_alpha 90.00
_cell_angle_beta 90.00
_cell_angle_gamma 90.00
_symmetry_space_group_name_H-M 'F m -3 m'
_symmetry_Int_Tables_number 225
_symmetry_space_group_name_Hall '-F 4 2 3'
loop_
_atom_site_label
_atom_site_type_symbol
_atom_site_fract_x
_atom_site_fract_y
_atom_site_fract_z
Er1 Er 0.250 0.250 0.250
Tl1 Tl 0.000 0.000 0.000
Zn1 Zn 0.000 0.000 0.500
```

***

4.
Simulated powder X-ray diffraction pattern
Compound: NaH9O5
Radiation: Cu Kα (weighted mean of Kα1 and Kα2)
Structure: the GGA-PBE geometry in the Materials Project

Top 6 peaks for 10 to 80 degrees two-theta, by angle:
d [Å], I/Imax
8.433, 50
3.527, 100
3.488, 69
3.236, 49
2.560, 63
2.179, 80

```
data_NaH9O5
_chemical_formula_sum 'Na2 H18 O10'
_cell_length_a 4.361
_cell_length_b 7.920
_cell_length_c 9.128
_cell_angle_alpha 69.35
_cell_angle_beta 76.71
_cell_angle_gamma 75.94
_symmetry_space_group_name_H-M 'P 1'
_symmetry_Int_Tables_number 1
loop_
_symmetry_equiv_pos_as_xyz
'x,y,z'
loop_
_atom_site_label
_atom_site_type_symbol
_atom_site_fract_x
_atom_site_fract_y
_atom_site_fract_z
Na1 Na 0.000 0.000 0.000
Na2 Na 0.093 0.529 0.281
H1 H 0.084 0.260 0.162
H2 H 0.092 0.868 0.335
H3 H 0.172 0.908 0.519
H4 H 0.262 0.121 0.308
H5 H 0.344 0.674 0.931
H6 H 0.472 0.310 0.809
H7 H 0.479 0.644 0.409
H8 H 0.502 0.467 0.549
H9 H 0.529 0.029 0.495
H10 H 0.545 0.506 0.779
H11 H 0.569 0.065 0.729
H12 H 0.602 0.272 0.114
H13 H 0.624 0.888 0.866
H14 H 0.631 0.219 0.464
H15 H 0.727 0.859 0.347
H16 H 0.800 0.410 0.968
H17 H 0.909 0.621 0.760
H18 H 0.982 0.659 0.946
O1 O 0.130 0.694 0.996
O2 O 0.241 0.252 0.230
O3 O 0.337 0.915 0.425
O4 O 0.433 0.437 0.740
O5 O 0.531 0.510 0.429
O6 O 0.550 0.021 0.848
O7 O 0.642 0.094 0.538
O8 O 0.740 0.618 0.851
O9 O 0.819 0.280 0.046
O10 O 0.942 0.836 0.283
```